Entry 1:
Diffraction record for SiHg12F7. The XRD peak list is theoretical, not measured: it uses the GGA-PBE geometry in Alexandria and Cu Ka.
Kinematic intensities with the Lorentz-polarization factor, no thermal factor.

Main lines, low angle first (10 to 90 degrees two-theta):
2theta  intensity
12.50  24
27.57  57
28.73  100
30.37  26
33.95  65
37.65  32
38.11  25
38.55  22
41.88  46
57.91  34

Cell lengths 14.1674, 14.1674, 7.6175 Å; angles 90.00, 90.00, 120.00 degrees
Space group R-3m (No. 166, hexagonal axes)
Asymmetric unit:
Si1 0.0000 0.0000 0.0000
Hg1 0.0000 0.3962 0.5000
Hg2 0.1056 0.2112 0.3975
F1 0.0000 0.0000 0.5000
F2 0.0575 0.1150 0.8700

***

Entry 2:
Diffraction record for Sr2Ge3Pd5. The XRD peak list is theoretical, not measured: it uses the GGA-PBE geometry in Alexandria and Cu Ka.
Kinematic intensities with the Lorentz-polarization factor, no thermal factor.

Main lines, low angle first (10 to 90 degrees two-theta):
2theta  intensity
18.15  19
32.68  53
33.75  100
39.38  78
46.18  21
46.97  18
50.79  16
52.11  16
53.55  16
55.54  15

Cell lengths 9.7736, 12.6654, 6.6185 Å; angles 90.00, 90.00, 90.00 degrees
Space group Ibam (No. 72)
Asymmetric unit:
Sr1 0.2494 0.1319 0.0000
Ge1 0.0000 0.0000 0.2500
Ge2 0.1204 0.3783 0.0000
Pd1 0.0000 0.2652 0.2500
Pd2 0.0000 0.5000 0.2500
Pd3 0.1251 0.1122 0.5000

***

Entry 3:
Diffraction record for Y5Al2Sb2. The XRD peak list is theoretical, not measured: it uses the GGA-PBE geometry in Alexandria and Cu Ka.
Kinematic intensities with the Lorentz-polarization factor, no thermal factor.

Main lines, low angle first (10 to 90 degrees two-theta):
2theta  intensity
24.89  33
30.40  51
31.66  67
32.15  100
32.93  73
34.10  49
35.99  87
39.68  31
46.32  34
51.10  30

Cell lengths 15.5161, 8.0001, 7.9888 Å; angles 90.00, 90.00, 90.00 degrees
Space group Cmce (No. 64)
Asymmetric unit:
Y1 0.0000 0.0000 0.0000
Y2 0.1335 0.1717 0.3305
Al1 0.0000 0.1212 0.6205
Sb1 0.2050 0.0000 0.0000

***

Entry 4:
Diffraction record for BaBi4Br2O6. The XRD peak list is theoretical, not measured: it uses the GGA-PBE geometry in Alexandria and Cu Ka.
Kinematic intensities with the Lorentz-polarization factor, no thermal factor.

Main lines, low angle first (10 to 90 degrees two-theta):
2theta  intensity
22.24  10
28.64  100
31.43  42
32.26  10
41.12  13
45.05  22
48.90  13
50.37  14
54.25  35
69.86  11

Cell lengths 4.0251, 4.0251, 34.4858 Å; angles 90.00, 90.00, 90.00 degrees
Space group I4/mmm (No. 139)
Asymmetric unit:
Ba1 0.0000 0.0000 0.0000
Bi1 0.0000 0.0000 0.2855
Bi2 0.0000 0.0000 0.4184
Br1 0.0000 0.0000 0.1679
O1 0.0000 0.5000 0.0541
O2 0.0000 0.5000 0.2500

***

Entry 5:
Diffraction record for UFe3B2. The XRD peak list is theoretical, not measured: it uses the GGA-PBE geometry in Alexandria and Cu Ka.
Kinematic intensities with the Lorentz-polarization factor, no thermal factor.

Main lines, low angle first (10 to 90 degrees two-theta):
2theta  intensity
20.11  74
35.20  26
37.77  100
40.87  81
48.04  59
64.87  42
72.38  18
74.43  15
80.68  22
86.62  20

Cell lengths 5.0987, 5.0987, 2.8286 Å; angles 90.00, 90.00, 120.00 degrees
Space group P6/mmm (No. 191)
Asymmetric unit:
U1 0.0000 0.0000 0.0000
Fe1 0.0000 0.5000 0.5000
B1 0.3333 0.6667 0.0000